# Li2Ni12P7
Simulated X-ray diffraction stick pattern, copper Kα. Input: the GGA-PBE geometry in Alexandria.
Peak positions follow from Bragg's law for the DFT cell and can differ from measured ones.

Cell and atoms:
a b c (Å): 9.0649 9.0649 3.5270
angles (deg): 90.00 90.00 120.00
Positions (direct):
Li1 0.3333 0.6667 0.2516
Li2 0.6667 0.3333 0.7484
Ni1 0.0579 0.4373 0.7514
Ni2 0.1118 0.2592 0.2496
Ni3 0.1475 0.8882 0.2496
Ni4 0.2592 0.1475 0.7504
Ni5 0.3794 0.9421 0.7514
Ni6 0.4373 0.3794 0.2486
Ni7 0.5627 0.6206 0.7514
Ni8 0.6206 0.0579 0.2486
Ni9 0.7408 0.8525 0.2496
Ni10 0.8525 0.1118 0.7504
Ni11 0.8882 0.7408 0.7504
Ni12 0.9421 0.5627 0.2486
P1 0.0000 0.0000 0.5000
P2 0.1222 0.7067 0.7512
P3 0.2933 0.4155 0.7512
P4 0.4155 0.1222 0.2488
P5 0.5845 0.8778 0.7512
P6 0.7067 0.5845 0.2488
P7 0.8778 0.2933 0.2488

Largest 8 diffraction maxima, most intense first, 10° ≤ 2θ ≤ 90°:
2θ/deg, d (Å), I_rel
39.70, 2.270, 100
19.59, 4.532, 42
53.46, 1.714, 40
49.18, 1.853, 32
50.69, 1.801, 29
11.27, 7.850, 19
51.85, 1.763, 19
43.04, 2.102, 15

---

# AgRu2Pt
Simulated X-ray diffraction stick pattern, copper Kα. Input: the GGA-PBE geometry in Alexandria.
Peak positions follow from Bragg's law for the DFT cell and can differ from measured ones.

Cell and atoms:
a b c (Å): 9.3664 9.3664 9.3664
angles (deg): 17.00 17.00 17.00
Positions (direct):
Ag1 0.0000 0.0000 0.0000
Ru1 0.4941 0.4941 0.4941
Ru2 0.7555 0.7555 0.7555
Pt1 0.2449 0.2449 0.2449

Largest 8 diffraction maxima, most intense first, 10° ≤ 2θ ≤ 90°:
2θ/deg, d (Å), I_rel
39.78, 2.266, 100
46.05, 1.971, 63
39.04, 2.307, 32
81.00, 1.187, 22
67.68, 1.384, 21
66.65, 1.403, 18
81.47, 1.181, 12
85.77, 1.133, 10